# BaPrFeCuO5
Simulated powder XRD pattern, copper Kα. Input: a crystal structure in Alexandria, relaxed with GGA+U.

Cell and atoms:
Cell lengths 3.959, 3.959, 8.014 Å; angles 90.00, 90.00, 90.00 degrees
Element x y z (fractional)
Ba 0.000 0.000 0.000
Pr 0.000 0.000 0.469
Fe 0.500 0.500 0.719
Cu 0.500 0.500 0.247
O 0.000 0.500 0.271
O 0.000 0.500 0.654
O 0.500 0.000 0.271
O 0.500 0.000 0.654
O 0.500 0.500 0.951

Largest 10 diffraction maxima, most intense first, 2θ = 10–80°:
Position (°2θ)  d/Å  I/Imax  index
31.8  2.816  100  1 0 2
32.0  2.799  42  1 1 0
56.9  1.619  37  2 1 2
45.8  1.979  28  2 0 0
56.5  1.629  19  1 1 4
39.3  2.295  16  1 1 2
22.5  3.959  13  1 0 0
66.4  1.408  12  2 0 4
45.3  2.004  10  0 0 4
66.8  1.400  8  2 2 0